This entry pairs a crystal structure of Mn3TeO8 with its theoretical X-ray powder pattern. Radiation: copper Kα. Structure: the GGA+U geometry in Alexandria.
Peak positions follow from Bragg's law for the DFT cell and can differ from measured ones.

Structural model:
```
Mn3TeO8
1.0
3.011 1.738 5.041
-3.011 1.738 5.041
0.000 -3.476 5.041
Mn Te O
3 1 8
direct
0.000 0.500 0.500 Mn
0.500 0.000 0.500 Mn
0.500 0.500 0.000 Mn
0.500 0.500 0.500 Te
0.271 0.271 0.713 O
0.271 0.713 0.271 O
0.276 0.276 0.276 O
0.287 0.729 0.729 O
0.713 0.271 0.271 O
0.724 0.724 0.724 O
0.729 0.287 0.729 O
0.729 0.729 0.287 O
```

Peak list (12 most intense, 10 to 90 degrees two-theta, low angle first)
2θ/deg, I/Imax
18.0, 100
20.7, 8
34.3, 17
34.7, 24
36.5, 11
42.1, 43
46.5, 10
55.7, 12
56.0, 6
60.5, 12
61.6, 12
63.4, 6